Calculated powder X-ray diffraction pattern
Compound: Mg2Si
Radiation: CuKα
Structure: a structure optimized by DFT (PBE)

Atomic structure:
Cell lengths 5.425, 6.264, 7.688 Å; angles 88.59, 70.61, 89.25 degrees
Positions (direct):
Mg 0.194 0.123 0.122
Mg 0.201 0.624 0.082
Mg 0.229 0.131 0.517
Mg 0.229 0.625 0.554
Mg 0.771 0.375 0.446
Mg 0.771 0.869 0.483
Mg 0.799 0.376 0.918
Mg 0.806 0.877 0.878
Si 0.351 0.928 0.790
Si 0.372 0.326 0.785
Si 0.628 0.674 0.215
Si 0.649 0.072 0.210

Most intense lines, 10° ≤ 2θ ≤ 90°, sorted by position:
31.4 deg, intensity 57
33.4 deg, intensity 60
34.7 deg, intensity 75
35.1 deg, intensity 91
35.6 deg, intensity 100
37.2 deg, intensity 65
37.5 deg, intensity 69
37.7 deg, intensity 65
38.7 deg, intensity 75
45.7 deg, intensity 67
45.9 deg, intensity 62
47.3 deg, intensity 58